Diffraction record for CeYEr4. The X-ray powder pattern is computed, not measured: it uses a crystal structure in Alexandria, relaxed with PBE and Cu Kα, 1.54184 Å.
Neutral-atom scattering factors, no anomalous dispersion.

Atomic structure:
```
data_CeYEr4
_chemical_formula_sum 'Ce2 Y2 Er8'
_cell_length_a 17.094
_cell_length_b 3.544
_cell_length_c 6.146
_cell_angle_alpha 90.00
_cell_angle_beta 96.89
_cell_angle_gamma 90.00
_space_group_name_H-M_alt 'C 1 2/m 1'
_space_group_IT_number 12
loop_
_space_group_symop_operation_xyz
'x,y,z'
'-x,-y,-z'
'-x,y,-z'
'x,-y,z'
'x+1/2,y+1/2,z'
'-x+1/2,-y+1/2,-z'
'-x+1/2,y+1/2,-z'
'x+1/2,-y+1/2,z'
loop_
_atom_site_label
_atom_site_type_symbol
_atom_site_fract_x
_atom_site_fract_y
_atom_site_fract_z
Ce1 Ce 0.000 0.000 0.000
Y1 Y 0.000 0.500 0.500
Er1 Er 0.166 0.500 0.891
Er2 Er 0.168 0.000 0.386
```

Peak list (10 most intense, 10° ≤ 2θ ≤ 90°, low angle first)
(1 1 -1), 29.29 deg, I 29; (1 1 1), 29.93 deg, I 35; (6 0 0), 31.63 deg, I 52; (2 0 2), 32.37 deg, I 100; (4 0 -2), 34.10 deg, I 89; (0 2 0), 51.55 deg, I 40; (8 0 2), 55.67 deg, I 21; (10 0 -2), 59.04 deg, I 19; (6 2 0), 61.75 deg, I 46; (11 1 3), 88.41 deg, I 21



Diffraction record for Ce2Y5Er4. The X-ray powder pattern is computed, not measured: it uses a crystal structure in Alexandria, relaxed with PBE and Cu Kα, 1.54184 Å.
Neutral-atom scattering factors, no anomalous dispersion.

Atomic structure:
```
data_Ce2Y5Er4
_chemical_formula_sum 'Ce4 Y10 Er8'
_cell_length_a 17.445
_cell_length_b 3.470
_cell_length_c 11.543
_cell_angle_alpha 90.00
_cell_angle_beta 94.18
_cell_angle_gamma 90.00
_space_group_name_H-M_alt 'C 1 2/m 1'
_space_group_IT_number 12
loop_
_space_group_symop_operation_xyz
'x,y,z'
'-x,-y,-z'
'-x,y,-z'
'x,-y,z'
'x+1/2,y+1/2,z'
'-x+1/2,-y+1/2,-z'
'-x+1/2,y+1/2,-z'
'x+1/2,-y+1/2,z'
loop_
_atom_site_label
_atom_site_type_symbol
_atom_site_fract_x
_atom_site_fract_y
_atom_site_fract_z
Ce1 Ce 0.220 0.000 0.358
Y1 Y 0.000 0.000 0.000
Y2 Y 0.097 0.500 0.535
Y3 Y 0.178 0.500 0.071
Er1 Er 0.034 0.500 0.257
Er2 Er 0.141 0.000 0.797
```

Peak list (10 most intense, 10° ≤ 2θ ≤ 90°, low angle first)
(1 1 -2), 30.32 deg, I 22; (1 1 2), 30.71 deg, I 33; (6 0 -1), 31.27 deg, I 100; (2 0 -4), 32.04 deg, I 57; (4 0 3), 32.21 deg, I 55; (3 1 -2), 33.36 deg, I 49; (3 1 2), 34.42 deg, I 25; (1 1 5), 48.02 deg, I 17; (6 2 -1), 62.61 deg, I 17; (2 2 -4), 63.07 deg, I 16